Starting from a cell relaxed with GGA-PBE, the XRD peak list of Cu4Ag5 was calculated for copper Kα.

Largest 10 diffraction maxima, sorted by position, 15 to 90 degrees two-theta:
- 39.47°, rel. 97
- 40.01°, rel. 100
- 44.44°, rel. 68
- 49.61°, rel. 26
- 65.42°, rel. 12
- 68.78°, rel. 34
- 78.12°, rel. 21
- 79.17°, rel. 23
- 86.34°, rel. 10
- 86.45°, rel. 10

Structural model:
Cell: 13.3167 13.3167 13.3167 Å, 167.70 164.14 20.12°
Fractional positions:
Cu 0.0000 0.0000 0.0000
Cu 0.1080 0.1080 0.0000
Cu 0.3274 0.3274 0.0000
Cu 0.6554 0.6554 0.0000
Ag 0.2095 0.2095 0.0000
Ag 0.4453 0.4453 0.0000
Ag 0.5540 0.5540 0.0000
Ag 0.7729 0.7729 0.0000
Ag 0.8819 0.8819 0.0000

---

Starting from a cell relaxed with GGA-PBE, the XRD peak list of Cu3Ag7 was calculated for copper Kα.

Largest 10 diffraction maxima, sorted by position, 15 to 90 degrees two-theta:
- 19.73°, rel. 3
- 38.28°, rel. 100
- 40.08°, rel. 26
- 45.04°, rel. 60
- 64.34°, rel. 20
- 66.82°, rel. 15
- 77.41°, rel. 12
- 78.56°, rel. 20
- 80.86°, rel. 8
- 81.97°, rel. 10

Structural model:
Cell: 22.5610 22.5610 22.5610 Å, 7.36 7.36 7.36°
Fractional positions:
Cu 0.0000 0.0000 0.0000
Cu 0.1986 0.1986 0.1986
Cu 0.8014 0.8014 0.8014
Ag 0.1030 0.1030 0.1030
Ag 0.3020 0.3020 0.3020
Ag 0.4004 0.4004 0.4004
Ag 0.5000 0.5000 0.5000
Ag 0.5996 0.5996 0.5996
Ag 0.6980 0.6980 0.6980
Ag 0.8970 0.8970 0.8970

---

Starting from a cell relaxed with GGA-PBE, the XRD peak list of Cu5Ag3 was calculated for copper Kα.

Largest 10 diffraction maxima, sorted by position, 15 to 90 degrees two-theta:
- 23.71°, rel. 6
- 32.61°, rel. 3
- 40.72°, rel. 100
- 46.78°, rel. 33
- 48.55°, rel. 14
- 68.32°, rel. 10
- 69.71°, rel. 18
- 82.68°, rel. 23
- 85.30°, rel. 10
- 88.19°, rel. 10

Structural model:
Cell: 3.8835 3.8835 15.0026 Å, 90.00 90.00 90.00°
Fractional positions:
Cu 0.0000 0.0000 0.0000
Cu 0.0000 0.5000 0.1198
Cu 0.0000 0.5000 0.3802
Cu 0.0000 0.5000 0.6198
Cu 0.0000 0.5000 0.8802
Cu 0.5000 0.0000 0.1198
Cu 0.5000 0.0000 0.3802
Cu 0.5000 0.0000 0.6198
Cu 0.5000 0.0000 0.8802
Cu 0.5000 0.5000 0.5000
Ag 0.0000 0.0000 0.2502
Ag 0.0000 0.0000 0.5000
Ag 0.0000 0.0000 0.7498
Ag 0.5000 0.5000 0.0000
Ag 0.5000 0.5000 0.2498
Ag 0.5000 0.5000 0.7502

---

Starting from a cell relaxed with GGA-PBE, the XRD peak list of Cu23Ag17 was calculated for copper Kα.

Largest 10 diffraction maxima, sorted by position, 15 to 90 degrees two-theta:
- 40.36°, rel. 100
- 40.48°, rel. 98
- 46.51°, rel. 33
- 46.60°, rel. 33
- 47.92°, rel. 27
- 67.79°, rel. 10
- 68.99°, rel. 25
- 81.96°, rel. 11
- 82.16°, rel. 11
- 82.25°, rel. 11

Structural model:
Cell: 5.5297 9.3694 11.2308 Å, 96.68 90.02 90.12°
Fractional positions:
Cu 0.0000 0.0000 0.0000
Cu 0.0001 0.3082 0.7976
Cu 0.0091 0.8010 0.8026
Cu 0.2302 0.3674 0.5990
Cu 0.2326 0.2515 0.9842
Cu 0.2368 0.6658 0.3979
Cu 0.2417 0.5544 0.7968
Cu 0.2431 0.0486 0.8067
Cu 0.4906 0.8009 0.8008
Cu 0.5051 0.4876 0.9972
Cu 0.5087 0.8921 0.4032
Cu 0.5128 0.7069 0.2165
Cu 0.7474 0.9460 0.2060
Cu 0.7506 0.4721 0.1902
Cu 0.7515 0.8456 0.6000
Cu 0.7555 0.2584 0.9876
Cu 0.7605 0.6626 0.4028
Cu 0.7621 0.3616 0.5940
Cu 0.9797 0.7097 0.2156
Cu 0.9843 0.8981 0.4040
Cu 0.9948 0.4856 0.9907
Cu 0.9958 0.6025 0.5935
Cu 0.9977 0.4235 0.4005
Ag 0.0011 0.1129 0.6051
Ag 0.2384 0.4750 0.1911
Ag 0.2379 0.8519 0.6026
Ag 0.2435 0.9438 0.2077
Ag 0.2447 0.1624 0.3982
Ag 0.2486 0.7313 0.0041
Ag 0.4885 0.3060 0.7946
Ag 0.4929 0.0011 0.0001
Ag 0.4964 0.6047 0.5995
Ag 0.4978 0.2171 0.1847
Ag 0.5023 0.1027 0.5984
Ag 0.5048 0.4196 0.3939
Ag 0.7492 0.1526 0.3925
Ag 0.7523 0.7458 0.0105
Ag 0.7572 0.0436 0.8030
Ag 0.7580 0.5571 0.7992
Ag 0.9926 0.2105 0.1850

---

Starting from a cell relaxed with GGA-PBE, the XRD peak list of Cu6Ag was calculated for copper Kα.

Largest 10 diffraction maxima, sorted by position, 15 to 90 degrees two-theta:
- 42.26°, rel. 100
- 42.39°, rel. 98
- 48.61°, rel. 65
- 50.59°, rel. 28
- 70.99°, rel. 10
- 72.78°, rel. 34
- 86.32°, rel. 22
- 86.60°, rel. 21
- 89.43°, rel. 10
- 89.53°, rel. 9

Structural model:
Cell: 11.1440 2.6554 6.3990 Å, 90.00 110.59 90.00°
Fractional positions:
Cu 0.0714 0.0000 0.1995
Cu 0.1464 0.5000 0.9303
Cu 0.2241 0.0000 0.6487
Cu 0.2759 0.5000 0.3513
Cu 0.3536 0.0000 0.0697
Cu 0.4286 0.5000 0.8005
Cu 0.5714 0.5000 0.1995
Cu 0.6464 0.0000 0.9303
Cu 0.7241 0.5000 0.6487
Cu 0.7759 0.0000 0.3513
Cu 0.8536 0.5000 0.0697
Cu 0.9286 0.0000 0.8005
Ag 0.0000 0.5000 0.5000
Ag 0.5000 0.0000 0.5000

---

Starting from a cell relaxed with GGA-PBE, the XRD peak list of Cu3Ag2 was calculated for copper Kα.

Largest 10 diffraction maxima, sorted by position, 15 to 90 degrees two-theta:
- 40.12°, rel. 49
- 40.46°, rel. 100
- 40.86°, rel. 40
- 46.12°, rel. 61
- 48.98°, rel. 26
- 67.23°, rel. 11
- 69.02°, rel. 18
- 70.06°, rel. 13
- 81.27°, rel. 11
- 81.76°, rel. 9

Structural model:
Cell: 4.6864 2.7852 11.0791 Å, 90.00 94.72 90.00°
Fractional positions:
Cu 0.0000 0.0000 0.0000
Cu 0.0924 0.5000 0.8106
Cu 0.2043 0.0000 0.6201
Cu 0.3563 0.0000 0.1909
Cu 0.4746 0.5000 0.0133
Cu 0.8787 0.5000 0.1778
Ag 0.2670 0.5000 0.4063
Ag 0.5894 0.0000 0.8176
Ag 0.7108 0.5000 0.6018
Ag 0.7649 0.0000 0.3746

---

Starting from a cell relaxed with GGA-PBE, the XRD peak list of Cu3Ag7 was calculated for copper Kα.

Largest 10 diffraction maxima, sorted by position, 15 to 90 degrees two-theta:
- 38.82°, rel. 100
- 39.09°, rel. 32
- 44.88°, rel. 43
- 45.86°, rel. 20
- 65.94°, rel. 13
- 66.29°, rel. 12
- 78.51°, rel. 8
- 78.69°, rel. 15
- 79.03°, rel. 7
- 80.10°, rel. 7

Structural model:
Cell: 6.9144 2.8637 8.4294 Å, 90.00 104.78 90.00°
Fractional positions:
Cu 0.0000 0.0000 0.0000
Cu 0.0940 0.5000 0.2874
Cu 0.9060 0.5000 0.7126
Ag 0.1918 0.0000 0.5938
Ag 0.2869 0.5000 0.8977
Ag 0.3846 0.0000 0.1987
Ag 0.5000 0.5000 0.5000
Ag 0.6154 0.0000 0.8013
Ag 0.7131 0.5000 0.1023
Ag 0.8082 0.0000 0.4062

---

Starting from a cell relaxed with GGA-PBE, the XRD peak list of Cu3Ag5 was calculated for copper Kα.

Largest 10 diffraction maxima, sorted by position, 15 to 90 degrees two-theta:
- 39.24°, rel. 100
- 39.43°, rel. 33
- 45.28°, rel. 22
- 45.48°, rel. 21
- 46.27°, rel. 20
- 65.93°, rel. 7
- 66.79°, rel. 12
- 79.62°, rel. 7
- 79.78°, rel. 7
- 80.92°, rel. 10

Structural model:
Cell: 5.6672 10.0462 10.1715 Å, 110.57 98.22 106.20°
Fractional positions:
Cu 0.0000 0.0000 0.0000
Cu 0.0246 0.9420 0.2263
Cu 0.1166 0.7668 0.9983
Cu 0.3151 0.3830 0.4856
Cu 0.3944 0.1839 0.2337
Cu 0.5366 0.9447 0.2412
Cu 0.5678 0.8879 0.4878
Cu 0.6427 0.7661 0.9981
Cu 0.6835 0.6354 0.4910
Cu 0.8375 0.3122 0.7289
Cu 0.9122 0.1232 0.4853
Cu 0.9548 0.0744 0.7271
Ag 0.0445 0.8878 0.4904
Ag 0.0930 0.8333 0.7483
Ag 0.1625 0.7100 0.2408
Ag 0.1970 0.6392 0.4929
Ag 0.2206 0.5799 0.7483
Ag 0.2452 0.5096 0.9867
Ag 0.2869 0.4417 0.2451
Ag 0.3169 0.3114 0.7211
Ag 0.3578 0.2409 0.9825
Ag 0.4194 0.1245 0.4680
Ag 0.4723 0.0726 0.7275
Ag 0.4971 0.9979 0.0019
Ag 0.6089 0.8331 0.7439
Ag 0.6551 0.7036 0.2402
Ag 0.7128 0.5716 0.7368
Ag 0.7446 0.5054 0.9808
Ag 0.7780 0.4420 0.2390
Ag 0.8093 0.3799 0.4897
Ag 0.8707 0.2444 0.9809
Ag 0.9148 0.1857 0.2476

---

Starting from a cell relaxed with GGA-PBE, the XRD peak list of Cu5Ag3 was calculated for copper Kα.

Largest 10 diffraction maxima, sorted by position, 15 to 90 degrees two-theta:
- 23.27°, rel. 4
- 32.83°, rel. 3
- 40.63°, rel. 100
- 47.11°, rel. 32
- 47.57°, rel. 16
- 68.83°, rel. 10
- 69.19°, rel. 19
- 83.10°, rel. 22
- 83.78°, rel. 11
- 87.95°, rel. 10

Structural model:
Cell: 5.4560 5.4560 7.6465 Å, 90.00 90.00 90.00°
Fractional positions:
Cu 0.0000 0.0000 0.0000
Cu 0.2500 0.2500 0.2500
Cu 0.2500 0.2500 0.7500
Cu 0.2500 0.7500 0.2500
Cu 0.2500 0.7500 0.7500
Cu 0.5000 0.5000 0.5000
Cu 0.7500 0.2500 0.2500
Cu 0.7500 0.2500 0.7500
Cu 0.7500 0.7500 0.2500
Cu 0.7500 0.7500 0.7500
Ag 0.0000 0.0000 0.5000
Ag 0.0000 0.5000 0.0000
Ag 0.0000 0.5000 0.5000
Ag 0.5000 0.0000 0.0000
Ag 0.5000 0.0000 0.5000
Ag 0.5000 0.5000 0.0000

---

Starting from a cell relaxed with GGA-PBE, the XRD peak list of Cu3Ag2 was calculated for copper Kα.

Largest 10 diffraction maxima, sorted by position, 15 to 90 degrees two-theta:
- 40.48°, rel. 100
- 40.75°, rel. 100
- 46.84°, rel. 34
- 47.35°, rel. 32
- 47.56°, rel. 29
- 68.80°, rel. 20
- 69.36°, rel. 26
- 82.95°, rel. 11
- 83.35°, rel. 11
- 83.51°, rel. 19

Structural model:
Cell: 4.7173 4.7173 8.6079 Å, 90.91 90.91 48.04°
Fractional positions:
Cu 0.1010 0.1010 0.1887
Cu 0.1987 0.1987 0.9061
Cu 0.3954 0.3954 0.2852
Cu 0.6046 0.6046 0.7148
Cu 0.8013 0.8013 0.0939
Cu 0.8990 0.8990 0.8113
Ag 0.0000 0.0000 0.5000
Ag 0.3016 0.3016 0.6176
Ag 0.5000 0.5000 0.0000
Ag 0.6984 0.6984 0.3824

---

Starting from a cell relaxed with GGA-PBE, the XRD peak list of Cu3Ag2 was calculated for copper Kα.

Largest 10 diffraction maxima, sorted by position, 15 to 90 degrees two-theta:
- 35.12°, rel. 9
- 37.67°, rel. 9
- 40.75°, rel. 100
- 45.27°, rel. 44
- 51.48°, rel. 6
- 65.95°, rel. 13
- 70.94°, rel. 9
- 72.02°, rel. 5
- 80.50°, rel. 25
- 88.27°, rel. 5

Structural model:
Cell: 2.8327 2.8327 17.7507 Å, 90.00 90.00 90.00°
Fractional positions:
Cu 0.2500 0.2500 0.0419
Cu 0.2500 0.2500 0.4577
Cu 0.2500 0.2500 0.6267
Cu 0.7500 0.7500 0.3733
Cu 0.7500 0.7500 0.5423
Cu 0.7500 0.7500 0.9581
Ag 0.2500 0.2500 0.2685
Ag 0.2500 0.2500 0.8537
Ag 0.7500 0.7500 0.1463
Ag 0.7500 0.7500 0.7315

---

Starting from a cell relaxed with GGA-PBE, the XRD peak list of Cu3Ag5 was calculated for copper Kα.

Largest 10 diffraction maxima, sorted by position, 15 to 90 degrees two-theta:
- 25.08°, rel. 5
- 39.27°, rel. 100
- 40.83°, rel. 1
- 45.42°, rel. 16
- 45.79°, rel. 32
- 66.47°, rel. 19
- 66.76°, rel. 10
- 79.75°, rel. 11
- 80.29°, rel. 22
- 84.46°, rel. 10

Structural model:
Cell: 3.9633 3.9633 7.9871 Å, 90.00 90.00 90.00°
Fractional positions:
Cu 0.0000 0.0000 0.0000
Cu 0.0000 0.5000 0.2426
Cu 0.5000 0.0000 0.7574
Ag 0.0000 0.0000 0.5000
Ag 0.0000 0.5000 0.7594
Ag 0.5000 0.0000 0.2406
Ag 0.5000 0.5000 0.0000
Ag 0.5000 0.5000 0.5000